Starting from a cell relaxed with GGA-PBE, the powder diffraction line list of Mg4Pb3F12 was simulated for Cu Kα X-rays.

Crystal structure
```
Mg4Pb3F12
1.0
-4.0873 4.0873 4.0873
4.0873 -4.0873 4.0873
4.0873 4.0873 -4.0873
Mg Pb F
4 3 12
Cartesian
2.0436 2.0436 -2.0436 Mg
2.0436 -2.0436 2.0436 Mg
-2.0436 2.0436 2.0436 Mg
2.0436 2.0436 2.0436 Mg
4.0873 0.0000 0.0000 Pb
0.0000 4.0873 0.0000 Pb
0.0000 0.0000 4.0873 Pb
4.0873 2.0054 -2.0054 F
4.0873 -2.0054 2.0054 F
2.0054 4.0873 -2.0054 F
2.0819 2.0819 0.0000 F
2.0819 0.0000 2.0819 F
2.0054 -2.0054 4.0873 F
4.0873 2.0054 2.0054 F
0.0000 2.0819 2.0819 F
-2.0054 4.0873 2.0054 F
-2.0054 2.0054 4.0873 F
2.0054 4.0873 2.0054 F
2.0054 2.0054 4.0873 F
```

Top 12 peaks for 2θ from 15° to 90°, by angle:
2θ/deg  I/Imax
15.33  56
21.74  51
26.71  28
30.94  100
38.14  53
41.33  20
44.32  41
49.89  27
55.03  42
64.48  25
73.23  19
89.78  24